This entry pairs a crystal structure of HfTi4Ga5 with its computed PXRD pattern. Radiation: copper Kα. Structure: a crystal structure in Alexandria, relaxed with GGA-PBE.
Kinematic intensities with the Lorentz-polarization factor, no thermal factor.

Main lines, low angle first (10 to 90 degrees two-theta):
- d 3.879, 22.93 deg, rel. 379, hkl 1 1 1
- d 2.817, 31.76 deg, rel. 719, hkl 2 2 0
- d 2.749, 32.57 deg, rel. 422, hkl 1 3 0
- d 2.493, 36.03 deg, rel. 1000, hkl 2 2 1
- d 2.416, 37.22 deg, rel. 673, hkl 1 1 2
- d 2.292, 39.30 deg, rel. 979, hkl 0 2 2
- d 2.227, 40.51 deg, rel. 514, hkl 0 4 0
- d 2.209, 40.86 deg, rel. 343, hkl 3 0 1
- d 2.144, 42.15 deg, rel. 376, hkl 3 1 1
- d 1.979, 45.86 deg, rel. 773, hkl 3 2 1

Structural model:
a b c (Å): 7.276 8.907 5.347
angles (deg): 90.00 90.00 90.00
Space group Pmmn (No. 59, origin choice 2)
Unique sites:
Hf  0.250  0.250  0.018 (multiplicity 2)
Ti  0.069  0.250  0.506 (multiplicity 4)
Ti  0.250  0.594  0.321 (multiplicity 4)
Ga  0.071  0.512  0.784 (multiplicity 8)
Ga  0.250  0.750  0.841 (multiplicity 2)